No. 1
Starting from a DFT-relaxed cell (PBE, Alexandria), the powder diffractogram of CeTh3O was computed for Cu Ka.
Lines closer than 0.1° are merged.

Structural model:
a b c (Å): 5.0423 5.0423 5.0423
angles (deg): 90.00 90.00 90.00
Space group Pm-3m (No. 221)
Inequivalent atoms, fractional coordinates:
Ce 0.0000 0.0000 0.0000 (multiplicity 1)
Th 0.0000 0.5000 0.5000 (multiplicity 3)
O 0.5000 0.5000 0.5000 (multiplicity 1)

Principal peaks in the range 10° ≤ 2θ ≤ 90°, in order of rising 2θ:
Position (°2θ), intensity
17.6, 4.5
25.0, 1.6
30.7, 100.0
35.6, 55.4
40.0, 2.4
51.2, 39.9
54.6, 1.2
60.9, 44.8
64.0, 13.8
75.4, 6.5
83.6, 19.0
86.3, 18.8

---

No. 2
Starting from a DFT-relaxed cell (PBE, Alexandria), the powder diffractogram of Ce6Th4O19 was computed for Cu Ka.
Lines closer than 0.1° are merged.

Structural model:
a b c (Å): 6.8266 19.5517 6.8181
angles (deg): 90.00 109.33 90.00
Space group Cm (No. 8)
Inequivalent atoms, fractional coordinates:
Ce 0.0000 0.0000 0.0000 (multiplicity 2)
Ce 0.0289 0.5000 0.5281 (multiplicity 2)
Ce 0.4981 0.3937 0.5305 (multiplicity 4)
Ce 0.4992 0.0970 0.0275 (multiplicity 4)
Th 0.0019 0.1986 0.0311 (multiplicity 4)
Th 0.4967 0.1967 0.5264 (multiplicity 4)
O 0.1217 0.2025 0.4051 (multiplicity 4)
O 0.1243 0.3072 0.9058 (multiplicity 4)
O 0.1287 0.1008 0.8947 (multiplicity 4)
O 0.1334 0.3987 0.3989 (multiplicity 4)
O 0.1327 0.5000 0.8958 (multiplicity 2)
O 0.3555 0.0909 0.6201 (multiplicity 4)
O 0.3642 0.0000 0.1648 (multiplicity 2)
O 0.3702 0.1997 0.1514 (multiplicity 4)
O 0.3764 0.2982 0.6584 (multiplicity 4)
O 0.3957 0.5000 0.6313 (multiplicity 2)
O 0.4092 0.4085 0.1726 (multiplicity 4)

Principal peaks in the range 10° ≤ 2θ ≤ 90°, in order of rising 2θ:
Position (°2θ), intensity
27.7, 100.0
27.9, 97.7
32.2, 66.9
46.0, 17.1
46.2, 66.5
46.4, 16.2
54.7, 44.8
54.8, 14.8
54.9, 29.1
67.4, 9.9
74.5, 11.4
86.0, 10.0

---

No. 3
Starting from a DFT-relaxed cell (PBE, Alexandria), the powder diffractogram of Ce4ThO9 was computed for Cu Ka.
Lines closer than 0.1° are merged.

Structural model:
a b c (Å): 8.7486 8.7486 5.6052
angles (deg): 90.00 90.00 90.00
Space group I-4 (No. 82)
Inequivalent atoms, fractional coordinates:
Ce 0.1100 0.2889 0.0245 (multiplicity 8)
Th 0.0000 0.0000 0.5000 (multiplicity 2)
O 0.0000 0.5000 0.2500 (multiplicity 2)
O 0.0908 0.8091 0.2446 (multiplicity 8)
O 0.0951 0.7735 0.7463 (multiplicity 8)

Principal peaks in the range 10° ≤ 2θ ≤ 90°, in order of rising 2θ:
Position (°2θ), intensity
14.3, 6.6
27.8, 100.0
31.9, 10.5
32.4, 22.0
46.1, 32.6
46.4, 17.1
54.4, 14.5
55.0, 29.1
57.4, 9.8
74.3, 11.0
85.2, 6.1
85.9, 9.1

---

No. 4
Starting from a DFT-relaxed cell (PBE, Alexandria), the powder diffractogram of Ce4TiO10 was computed for Cu Ka.
Lines closer than 0.1° are merged.

Structural model:
a b c (Å): 3.8273 3.8273 45.3002
angles (deg): 90.00 90.00 120.00
Space group R-3m (No. 166, hexagonal axes)
Inequivalent atoms, fractional coordinates:
Ce 0.0000 0.0000 0.1057 (multiplicity 6)
Ce 0.0000 0.0000 0.2981 (multiplicity 6)
Ti 0.0000 0.0000 0.5000 (multiplicity 3)
O 0.0000 0.0000 0.0528 (multiplicity 6)
O 0.0000 0.0000 0.1560 (multiplicity 6)
O 0.0000 0.0000 0.2452 (multiplicity 6)
O 0.0000 0.0000 0.3509 (multiplicity 6)
O 0.0000 0.0000 0.4570 (multiplicity 6)

Principal peaks in the range 10° ≤ 2θ ≤ 90°, in order of rising 2θ:
Position (°2θ), intensity
28.7, 100.0
29.6, 27.7
33.5, 33.2
43.6, 10.6
47.5, 39.3
48.7, 27.2
56.4, 14.7
57.0, 25.6
58.0, 8.7
70.4, 8.4
76.8, 11.8
89.4, 8.9

---

No. 5
Starting from a DFT-relaxed cell (PBE, Alexandria), the powder diffractogram of CeTi3O8 was computed for Cu Ka.
Lines closer than 0.1° are merged.

Structural model:
a b c (Å): 5.7356 5.7356 6.1854
angles (deg): 90.00 90.00 120.00
Space group P-3m1 (No. 164)
Inequivalent atoms, fractional coordinates:
Ce 0.0000 0.0000 0.0000 (multiplicity 1)
Ti 0.0000 0.0000 0.5000 (multiplicity 1)
Ti 0.3333 0.6667 0.7803 (multiplicity 2)
O 0.1497 0.2994 0.7065 (multiplicity 6)
O 0.3333 0.6667 0.0549 (multiplicity 2)

Principal peaks in the range 10° ≤ 2θ ≤ 90°, in order of rising 2θ:
Position (°2θ), intensity
14.3, 29.7
17.9, 100.0
23.0, 57.7
31.2, 89.0
34.2, 63.2
34.5, 37.0
43.0, 19.5
46.9, 46.1
47.8, 18.0
50.8, 17.5
57.4, 36.7
65.0, 17.0

---

No. 6
Starting from a DFT-relaxed cell (PBE, Alexandria), the powder diffractogram of CeTl3O6 was computed for Cu Ka.
Lines closer than 0.1° are merged.

Structural model:
a b c (Å): 8.0451 11.3543 3.5871
angles (deg): 90.00 90.00 90.00
Space group Cmmm (No. 65)
Inequivalent atoms, fractional coordinates:
Ce 0.0000 0.0000 0.0000 (multiplicity 2)
Tl 0.0000 0.5000 0.0000 (multiplicity 2)
Tl 0.2500 0.2500 0.5000 (multiplicity 4)
O 0.0000 0.1218 0.5000 (multiplicity 4)
O 0.2147 0.3736 0.0000 (multiplicity 8)

Principal peaks in the range 10° ≤ 2θ ≤ 90°, in order of rising 2θ:
Position (°2θ), intensity
27.2, 100.0
29.5, 80.4
31.5, 25.1
33.5, 44.1
45.1, 15.4
46.6, 57.9
50.9, 11.3
53.5, 15.5
54.8, 43.8
56.0, 11.5
58.7, 23.9
73.6, 12.4